Diffraction record for ThHg11. The powder X-ray diffraction pattern is calculated, not measured: it uses DFT lattice parameters and positions (GGA-PBE) and Cu Kα, 1.54184 Å.

Peak list (8 most intense, 5 to 70 degrees two-theta, low angle first)
32.20°, 2.780 Å, rel. 28; 33.77°, 2.654 Å, rel. 55; 34.73°, 2.583 Å, rel. 100; 40.79°, 2.212 Å, rel. 15; 49.22°, 1.851 Å, rel. 19; 61.64°, 1.505 Å, rel. 20; 62.26°, 1.491 Å, rel. 19; 67.38°, 1.390 Å, rel. 30

Structure:
Cell: 10.3315 10.3315 3.2977 Å, 90.00 90.00 120.00°
Fractional coordinates of all 12 atoms:
1 Th 0.0000 0.0000 0.0000
2 Hg 0.0000 0.5000 0.0000
3 Hg 0.1713 0.3426 0.5000
4 Hg 0.1713 0.8287 0.5000
5 Hg 0.3333 0.6667 0.0000
6 Hg 0.3426 0.1713 0.5000
7 Hg 0.5000 0.0000 0.0000
8 Hg 0.5000 0.5000 0.0000
9 Hg 0.6574 0.8287 0.5000
10 Hg 0.6667 0.3333 0.0000
11 Hg 0.8287 0.1713 0.5000
12 Hg 0.8287 0.6574 0.5000